Diffraction record for VNi3Rh3. The PXRD pattern is simulated, not measured: it uses the PBE geometry in Alexandria and Cu Kα (weighted mean of Kα1 and Kα2).

Atomic structure:
```
28
Lattice="7.217 0.000 0.000 0.000 7.217 0.000 0.000 0.000 7.217" Properties=species:S:1:pos:R:3 pbc="T T T"
V 1.098 2.511 4.706
V 2.511 4.706 1.098
V 4.706 1.098 2.511
V 6.119 6.119 6.119
Ni 0.241 3.849 6.976
Ni 1.054 1.054 1.054
Ni 1.169 6.048 2.440
Ni 2.440 1.169 6.048
Ni 2.555 6.163 4.662
Ni 3.368 3.368 3.368
Ni 3.849 6.976 0.241
Ni 4.662 2.555 6.163
Ni 4.777 4.777 4.777
Ni 6.048 2.440 1.169
Ni 6.163 4.662 2.555
Ni 6.976 0.241 3.849
Rh 0.380 4.909 4.605
Rh 0.997 3.228 2.308
Rh 1.300 6.220 6.837
Rh 2.308 0.997 3.228
Rh 2.612 3.989 5.917
Rh 3.228 2.308 0.997
Rh 3.989 5.917 2.612
Rh 4.605 0.380 4.909
Rh 4.909 4.605 0.380
Rh 5.917 2.612 3.989
Rh 6.220 6.837 1.300
Rh 6.837 1.300 6.220
```

Principal peaks in the range 10° ≤ 2θ ≤ 80°, by angle:
2θ/deg	intensity
30.34	44.1
37.38	22.9
39.49	88.6
41.50	97.6
43.44	46.2
45.31	99.8
47.12	100.0
52.26	29.9

***

Diffraction record for Rb2ThP3Se9. The PXRD pattern is simulated, not measured: it uses the PBE geometry in Alexandria and Cu Kα (weighted mean of Kα1 and Kα2).

Atomic structure:
```
60
Lattice="10.424 0.000 0.000 0.318 10.851 0.000 5.045 -0.123 16.310" Properties=species:S:1:pos:R:3 pbc="T T T"
Rb 2.678 2.626 7.590
Rb 3.418 1.962 2.089
Rb 7.545 7.149 13.883
Rb 7.728 8.181 8.850
Rb 8.059 2.547 7.460
Rb 8.242 3.579 2.427
Rb 12.369 8.766 14.221
Rb 13.108 8.102 8.720
Th 3.415 7.844 3.560
Th 6.588 2.249 13.563
Th 9.199 8.479 2.747
Th 12.371 2.884 12.750
P 4.263 5.691 11.906
P 1.072 10.034 0.151
P 5.615 4.370 10.674
P 5.100 10.010 6.079
P 6.623 10.798 4.593
P 5.569 6.190 0.873
P 10.218 4.538 15.437
P 9.164 -0.071 11.717
P 10.687 0.718 10.231
P 10.172 6.358 5.636
P 14.714 0.694 16.159
P 11.523 5.036 4.404
Se 1.010 6.154 2.411
Se 0.320 2.711 0.187
Se 1.393 10.095 2.388
Se 4.837 7.762 11.839
Se 4.569 2.378 11.054
Se 3.063 5.452 5.356
Se 3.241 10.565 4.969
Se 5.076 0.001 8.041
Se 5.616 4.992 8.614
Se 7.846 10.567 15.227
Se 8.053 4.048 15.671
Se 5.196 7.801 6.008
Se 7.106 0.539 11.151
Se 7.569 4.399 11.714
Se 4.248 7.935 0.539
Se 4.949 5.321 2.816
Se 5.925 2.079 4.503
Se 6.108 9.510 2.788
Se 9.679 1.218 13.522
Se 9.861 8.649 11.807
Se 10.838 5.407 13.494
Se 11.538 2.793 15.771
Se 8.218 6.329 4.596
Se 8.681 10.189 5.159
Se 10.591 2.927 10.302
Se 7.734 6.680 0.639
Se 7.941 0.161 1.083
Se 10.170 5.736 7.696
Se 10.710 10.727 8.269
Se 12.546 0.163 11.341
Se 12.724 5.276 10.954
Se 11.218 8.350 5.256
Se 10.949 2.966 4.471
Se 14.393 0.633 13.922
Se 15.466 8.017 16.123
Se 14.776 4.574 13.899
```

Principal peaks in the range 10° ≤ 2θ ≤ 80°, by angle:
2θ/deg	intensity
10.85	50.1
28.76	53.4
29.19	100.0
30.98	48.4
32.13	45.6
33.00	60.4
34.01	49.4
34.94	47.3

***

Diffraction record for Nd2DyAg2. The PXRD pattern is simulated, not measured: it uses the PBE geometry in Alexandria and Cu Kα (weighted mean of Kα1 and Kα2).

Atomic structure:
```
10
Lattice="1.859 -13.775 0.000 1.859 13.775 0.000 0.000 0.000 5.340" Properties=species:S:1:pos:R:3 pbc="T T T"
Nd 1.859 12.487 4.005
Nd 1.859 7.331 4.005
Nd 1.859 -7.331 1.335
Nd 1.859 -12.487 1.335
Dy 1.859 9.775 1.335
Dy 1.859 -9.775 4.005
Ag 1.859 3.876 1.335
Ag 1.859 1.438 4.005
Ag 1.859 -1.438 1.335
Ag 1.859 -3.876 4.005
```

Principal peaks in the range 10° ≤ 2θ ≤ 80°, by angle:
2θ/deg	intensity
32.50	17.0
33.58	100.0
47.42	11.7
49.01	7.2
58.67	8.2
60.03	20.1
60.72	7.5
70.57	9.9